Entry 1:
This entry pairs a crystal structure of LiCrP2O7 with its simulated PXRD pattern. Radiation: λ = 1.5418 Å (Cu Kα). Structure: DFT lattice parameters and positions (PBE+U).
No peak broadening, texture or thermal motion is included.

Most intense lines, 5° ≤ 2θ ≤ 70°, sorted by position:
2θ/deg	intensity
17.45	100
22.24	31
22.90	31
28.88	49
29.28	29
30.15	83

Structural model:
```
LiCrP2O7
1.0
7.181 0.000 0.000
0.000 7.950 0.000
-3.388 0.000 8.899
Li Cr P O
4 4 8 28
direct
0.198 0.020 0.221
0.198 0.480 0.721
0.802 0.520 0.279
0.802 0.980 0.779
0.240 0.005 0.753
0.240 0.495 0.253
0.760 0.505 0.747
0.760 0.995 0.247
0.169 0.710 0.952
0.169 0.790 0.452
0.416 0.241 0.045
0.416 0.259 0.545
0.584 0.741 0.455
0.584 0.759 0.955
0.831 0.210 0.548
0.831 0.290 0.048
0.041 0.578 0.843
0.041 0.922 0.343
0.121 0.608 0.396
0.121 0.892 0.896
0.184 0.701 0.116
0.184 0.799 0.616
0.300 0.134 0.600
0.300 0.366 0.100
0.306 0.213 0.877
0.306 0.287 0.377
0.380 0.659 0.936
0.380 0.841 0.436
0.473 0.080 0.142
0.473 0.420 0.642
0.527 0.580 0.358
0.527 0.920 0.858
0.620 0.159 0.564
0.620 0.341 0.064
0.694 0.713 0.623
0.694 0.787 0.123
0.700 0.634 0.900
0.700 0.866 0.400
0.816 0.201 0.384
0.816 0.299 0.884
0.879 0.108 0.104
0.879 0.392 0.604
0.959 0.078 0.657
0.959 0.422 0.157
```

---

Entry 2:
This entry pairs a crystal structure of LiCrP2O7 with its simulated PXRD pattern. Radiation: λ = 1.5418 Å (Cu Kα). Structure: DFT lattice parameters and positions (PBE+U).
No peak broadening, texture or thermal motion is included.

Most intense lines, 5° ≤ 2θ ≤ 70°, sorted by position:
2θ/deg	intensity
17.73	100
17.92	32
22.99	28
28.62	48
29.73	77
30.18	37

Structural model:
```
LiCrP2O7
1.0
4.798 -4.073 0.000
4.798 4.073 0.000
-4.576 0.000 12.475
Li Cr P O
4 4 8 28
direct
0.016 0.239 0.151
0.239 0.016 0.651
0.761 0.984 0.349
0.984 0.761 0.849
0.126 0.598 0.361
0.402 0.874 0.139
0.598 0.126 0.861
0.874 0.402 0.639
0.091 0.248 0.863
0.248 0.091 0.363
0.334 0.416 0.572
0.416 0.334 0.072
0.584 0.666 0.928
0.666 0.584 0.428
0.752 0.909 0.637
0.909 0.752 0.137
0.018 0.575 0.200
0.071 0.891 0.120
0.090 0.275 0.317
0.109 0.929 0.380
0.189 0.335 0.628
0.203 0.389 0.978
0.215 0.606 0.518
0.275 0.090 0.817
0.335 0.189 0.128
0.389 0.203 0.478
0.394 0.785 0.982
0.425 0.982 0.300
0.441 0.535 0.356
0.465 0.559 0.144
0.535 0.441 0.856
0.559 0.465 0.644
0.575 0.018 0.700
0.606 0.215 0.018
0.611 0.797 0.522
0.665 0.811 0.872
0.725 0.910 0.183
0.785 0.394 0.482
0.797 0.611 0.022
0.811 0.665 0.372
0.891 0.071 0.620
0.910 0.725 0.683
0.929 0.109 0.880
0.982 0.425 0.800
```

---

Entry 3:
This entry pairs a crystal structure of LiCrP2O7 with its simulated PXRD pattern. Radiation: λ = 1.5418 Å (Cu Kα). Structure: DFT lattice parameters and positions (PBE+U).
No peak broadening, texture or thermal motion is included.

Most intense lines, 5° ≤ 2θ ≤ 70°, sorted by position:
2θ/deg	intensity
14.80	34
17.62	83
23.30	22
28.88	43
29.44	25
29.82	100

Structural model:
```
LiCrP2O7
1.0
6.753 0.000 0.000
0.000 8.079 0.000
-2.844 0.000 8.914
Li Cr P O
4 4 8 28
direct
0.215 0.114 0.045
0.215 0.386 0.545
0.785 0.614 0.455
0.785 0.886 0.955
0.281 0.726 0.996
0.281 0.774 0.496
0.719 0.226 0.504
0.719 0.274 0.004
0.054 0.537 0.207
0.054 0.963 0.707
0.464 0.085 0.703
0.464 0.415 0.203
0.536 0.585 0.797
0.536 0.915 0.297
0.946 0.037 0.293
0.946 0.463 0.793
0.071 0.681 0.104
0.071 0.819 0.604
0.091 0.590 0.372
0.091 0.910 0.872
0.151 0.555 0.849
0.151 0.945 0.349
0.226 0.106 0.710
0.226 0.394 0.210
0.395 0.586 0.633
0.395 0.914 0.133
0.475 0.583 0.135
0.475 0.917 0.635
0.490 0.234 0.608
0.490 0.266 0.108
0.510 0.734 0.892
0.510 0.766 0.392
0.525 0.083 0.365
0.525 0.417 0.865
0.605 0.086 0.867
0.605 0.414 0.367
0.774 0.606 0.790
0.774 0.894 0.290
0.849 0.055 0.651
0.849 0.445 0.151
0.909 0.090 0.128
0.909 0.410 0.628
0.929 0.181 0.396
0.929 0.319 0.896
```

---

Entry 4:
This entry pairs a crystal structure of Li2Cr3P4O14 with its simulated PXRD pattern. Radiation: λ = 1.5418 Å (Cu Kα). Structure: DFT lattice parameters and positions (PBE+U).
No peak broadening, texture or thermal motion is included.

Most intense lines, 5° ≤ 2θ ≤ 70°, sorted by position:
2θ/deg	intensity
14.32	29
20.81	25
26.21	52
27.30	100
30.63	47
32.49	28

Structural model:
```
Li2Cr3P4O14
1.0
6.092 0.000 0.000
2.088 6.312 0.000
1.610 1.466 7.140
Li Cr P O
2 3 4 14
direct
0.115 0.027 0.200
0.885 0.973 0.800
0.281 0.512 0.170
0.500 0.000 0.500
0.719 0.488 0.830
0.146 0.679 0.574
0.325 0.254 0.833
0.675 0.746 0.167
0.854 0.321 0.426
0.094 0.219 0.939
0.103 0.289 0.317
0.156 0.710 0.363
0.259 0.827 0.629
0.287 0.429 0.636
0.438 0.356 0.944
0.498 0.941 0.238
0.502 0.059 0.762
0.562 0.644 0.056
0.713 0.571 0.364
0.741 0.173 0.371
0.844 0.290 0.637
0.897 0.711 0.683
0.906 0.781 0.061
```

---

Entry 5:
This entry pairs a crystal structure of LiCr2P2O8 with its simulated PXRD pattern. Radiation: λ = 1.5418 Å (Cu Kα). Structure: DFT lattice parameters and positions (PBE+U).
No peak broadening, texture or thermal motion is included.

Most intense lines, 5° ≤ 2θ ≤ 70°, sorted by position:
2θ/deg	intensity
11.87	100
18.49	78
26.11	25
31.16	44
32.83	64
35.37	35

Structural model:
```
LiCr2P2O8
1.0
5.642 0.000 0.000
0.000 10.858 0.000
-0.416 0.000 10.250
Li Cr P O
4 8 8 32
direct
0.120 0.125 0.404
0.120 0.375 0.904
0.880 0.625 0.096
0.880 0.875 0.596
0.131 0.599 0.733
0.131 0.901 0.233
0.339 0.128 0.983
0.339 0.372 0.483
0.661 0.628 0.517
0.661 0.872 0.017
0.869 0.099 0.767
0.869 0.401 0.267
0.118 0.640 0.412
0.118 0.860 0.912
0.362 0.107 0.661
0.362 0.393 0.161
0.638 0.607 0.839
0.638 0.893 0.339
0.882 0.140 0.088
0.882 0.360 0.588
0.060 0.692 0.549
0.060 0.808 0.049
0.108 0.064 0.133
0.108 0.436 0.633
0.125 0.028 0.648
0.125 0.472 0.148
0.164 0.737 0.309
0.164 0.763 0.809
0.335 0.554 0.427
0.335 0.946 0.927
0.355 0.180 0.792
0.355 0.320 0.292
0.359 0.195 0.542
0.359 0.305 0.042
0.408 0.527 0.837
0.408 0.973 0.337
0.592 0.027 0.663
0.592 0.473 0.163
0.641 0.695 0.958
0.641 0.805 0.458
0.645 0.680 0.708
0.645 0.820 0.208
0.665 0.054 0.073
0.665 0.446 0.573
0.836 0.237 0.191
0.836 0.263 0.691
0.875 0.528 0.852
0.875 0.972 0.352
0.892 0.564 0.367
0.892 0.936 0.867
0.940 0.192 0.951
0.940 0.308 0.451
```

---

Entry 6:
This entry pairs a crystal structure of Li2CrSnP2O8 with its simulated PXRD pattern. Radiation: λ = 1.5418 Å (Cu Kα). Structure: DFT lattice parameters and positions (PBE+U).
No peak broadening, texture or thermal motion is included.

Most intense lines, 5° ≤ 2θ ≤ 70°, sorted by position:
2θ/deg	intensity
16.55	47
23.79	65
24.58	77
26.64	100
33.10	73
34.83	45

Structural model:
```
Li2CrSnP2O8
1.0
4.841 0.000 0.000
0.000 6.691 0.000
-0.658 0.000 10.712
Li Cr Sn P O
4 2 2 4 16
direct
0.000 0.000 0.000
0.000 0.500 0.000
0.500 0.000 0.500
0.500 0.500 0.500
0.055 0.250 0.713
0.945 0.750 0.287
0.459 0.250 0.218
0.541 0.750 0.782
0.072 0.750 0.576
0.383 0.750 0.097
0.617 0.250 0.903
0.928 0.250 0.424
0.193 0.562 0.650
0.193 0.938 0.650
0.205 0.750 0.446
0.246 0.250 0.440
0.251 0.565 0.158
0.251 0.935 0.158
0.270 0.750 0.957
0.295 0.250 0.886
0.705 0.750 0.114
0.730 0.250 0.043
0.749 0.065 0.842
0.749 0.435 0.842
0.754 0.750 0.560
0.795 0.250 0.554
0.807 0.062 0.350
0.807 0.438 0.350
```

---

Entry 7:
This entry pairs a crystal structure of Li6Ti3CrP6O24 with its simulated PXRD pattern. Radiation: λ = 1.5418 Å (Cu Kα). Structure: DFT lattice parameters and positions (PBE+U).
No peak broadening, texture or thermal motion is included.

Most intense lines, 5° ≤ 2θ ≤ 70°, sorted by position:
2θ/deg	intensity
20.70	52
23.62	100
23.72	35
23.92	65
28.68	29
34.76	28

Structural model:
```
Li6Ti3CrP6O24
1.0
8.577 0.000 0.000
3.931 7.658 0.000
4.051 2.489 7.253
Li Ti Cr P O
6 3 1 6 24
direct
0.000 0.000 0.000
0.081 0.906 0.492
0.235 0.632 0.843
0.396 0.427 0.176
0.565 0.822 0.612
0.724 0.185 0.342
0.086 0.511 0.701
0.582 0.011 0.188
0.871 0.305 0.483
0.377 0.806 0.991
0.172 0.214 0.087
0.271 0.117 0.584
0.480 0.602 0.390
0.690 0.402 0.878
0.780 0.907 0.787
0.979 0.704 0.300
0.029 0.682 0.461
0.114 0.145 0.524
0.140 0.719 0.113
0.159 0.404 0.930
0.182 0.065 0.031
0.228 0.285 0.635
0.290 0.931 0.743
0.310 0.607 0.570
0.343 0.167 0.139
0.433 0.613 0.234
0.462 0.099 0.424
0.501 0.554 0.890
0.536 0.771 0.344
0.622 0.852 0.810
0.637 0.417 0.425
0.670 0.245 0.070
0.743 0.333 0.721
0.745 0.962 0.948
0.810 0.063 0.595
0.819 0.889 0.272
0.849 0.466 0.841
0.925 0.536 0.347
0.972 0.752 0.764
0.991 0.227 0.258
```

---

Entry 8:
This entry pairs a crystal structure of Li3VCrP4O14 with its simulated PXRD pattern. Radiation: λ = 1.5418 Å (Cu Kα). Structure: DFT lattice parameters and positions (PBE+U).
No peak broadening, texture or thermal motion is included.

Most intense lines, 5° ≤ 2θ ≤ 70°, sorted by position:
2θ/deg	intensity
16.91	90
17.10	78
21.96	79
28.63	42
28.83	100
29.34	51

Structural model:
```
Li3VCrP4O14
1.0
5.002 0.000 0.000
-2.270 6.685 0.000
-0.060 -0.096 8.333
Li V Cr P O
3 1 1 4 14
direct
0.000 0.000 0.000
0.099 0.428 0.692
0.649 0.677 0.494
0.618 0.612 0.861
0.038 0.060 0.349
0.043 0.419 0.072
0.217 0.860 0.668
0.429 0.816 0.174
0.612 0.245 0.558
0.026 0.837 0.812
0.057 0.853 0.509
0.202 0.409 0.916
0.213 0.929 0.180
0.258 0.581 0.196
0.378 0.706 0.662
0.421 0.241 0.415
0.447 0.080 0.688
0.582 0.844 0.014
0.636 0.863 0.319
0.695 0.445 0.650
0.785 0.481 0.045
0.893 0.208 0.520
0.982 0.220 0.162
```